Diffraction record for CsPO4. The powder diffraction line list is computed, not measured: it uses a cell relaxed with GGA-PBE and Cu Kα (weighted mean of Kα1 and Kα2).

Cell and atoms:
```
CsPO4
1.0
5.321 0.000 0.000
0.000 6.423 0.000
-2.468 0.000 7.748
Cs P O
2 2 8
Direct
0.239 0.250 0.258
0.761 0.750 0.742
0.276 0.250 0.761
0.724 0.750 0.239
0.017 0.250 0.608
0.274 0.050 0.866
0.274 0.450 0.866
0.492 0.750 0.315
0.508 0.250 0.685
0.726 0.550 0.134
0.726 0.950 0.134
0.983 0.750 0.392
```

Largest 8 diffraction maxima, in order of falling intensity, 15 to 90 degrees two-theta:
2θ (°)	I/Imax	h k l
22.3	100.0	1 1 0
28.1	51.3	1 1 -2
23.0	46.9	0 0 2
36.0	35.7	2 0 -2
27.8	27.2	0 2 0
36.3	25.1	0 2 2
17.9	19.1	0 1 1
46.0	18.1	2 2 -2